Structure and computed powder diffraction line list of SrCe3Se4 (DFT lattice parameters and positions (GGA-PBE); Cu Kα).
Peak positions follow from Bragg's law for the DFT cell and can differ from measured ones.

The 10 most intense peaks (2θ from 10° to 90°), in order of rising 2θ:
two_theta  d/Å  I/Imax
29.6  3.016  100
42.2  2.142  13
42.4  2.133  50
42.6  2.121  12
52.4  1.747  13
52.7  1.736  13
61.5  1.508  12
69.7  1.349  22
77.3  1.234  13
77.9  1.227  8

Crystal structure
Unit cell a=7.402 b=7.402 c=4.243 alpha=90.00 beta=90.00 gamma=109.29
Fractional coordinates of all 8 atoms:
Sr  0.000  0.000  0.000
Ce  0.000  0.500  0.500
Ce  0.500  0.000  0.500
Ce  0.500  0.500  0.000
Se  0.252  0.748  0.000
Se  0.255  0.255  0.500
Se  0.745  0.745  0.500
Se  0.748  0.252  0.000

=====

Structure and computed powder diffraction line list of SrCeSe (DFT lattice parameters and positions (GGA-PBE); Cu Kα).
Peak positions follow from Bragg's law for the DFT cell and can differ from measured ones.

The 10 most intense peaks (2θ from 10° to 90°), in order of rising 2θ:
two_theta  d/Å  I/Imax
22.9  3.878  82
26.9  3.320  61
28.2  3.163  72
29.5  3.030  100
35.7  2.516  64
39.7  2.269  53
41.3  2.188  47
41.6  2.171  59
55.3  1.660  33
62.1  1.494  42

Crystal structure
Unit cell a=9.666 b=9.666 c=9.666 alpha=156.31 beta=148.57 gamma=39.74
Fractional coordinates of all 6 atoms:
Sr  0.172  0.172  0.000
Sr  0.828  0.828  0.000
Ce  0.253  0.500  0.753
Ce  0.747  0.500  0.247
Se  0.342  0.342  0.000
Se  0.658  0.658  0.000

=====

Structure and computed powder diffraction line list of TbCeSe3 (DFT lattice parameters and positions (GGA-PBE); Cu Kα).
Peak positions follow from Bragg's law for the DFT cell and can differ from measured ones.

The 10 most intense peaks (2θ from 10° to 90°), in order of rising 2θ:
two_theta  d/Å  I/Imax
24.9  3.569  81
30.1  2.966  28
32.1  2.790  35
33.5  2.674  100
35.3  2.540  42
35.8  2.506  33
37.2  2.414  49
41.5  2.175  31
43.5  2.078  46
67.0  1.397  23

Crystal structure
Unit cell a=7.758 b=4.157 c=16.049 alpha=90.00 beta=90.00 gamma=90.00
Fractional coordinates of all 20 atoms:
Tb  0.232  0.250  0.043
Tb  0.268  0.750  0.543
Tb  0.732  0.250  0.457
Tb  0.768  0.750  0.957
Ce  0.137  0.750  0.297
Ce  0.363  0.250  0.797
Ce  0.637  0.750  0.203
Ce  0.863  0.250  0.703
Se  0.009  0.750  0.106
Se  0.123  0.250  0.435
Se  0.151  0.750  0.718
Se  0.349  0.250  0.218
Se  0.377  0.750  0.935
Se  0.491  0.250  0.606
Se  0.509  0.750  0.394
Se  0.623  0.250  0.065
Se  0.651  0.750  0.782
Se  0.849  0.250  0.282
Se  0.877  0.750  0.565
Se  0.991  0.250  0.894